(1)
Diffraction record for Dy11Y5O24. The powder diffraction line list is theoretical, not measured: it uses a PBE-relaxed structure and Cu Kα X-rays.

Atomic structure:
```
Dy11Y5O24
1.0
9.2518 0.0000 0.0000
-3.0847 8.7227 0.0000
-3.0847 -4.3605 7.5546
Dy Y O
11 5 24
Cartesian
0.0000 0.0000 0.0000 Dy
6.1677 2.1806 3.7719 Dy
-2.8824 5.3100 2.1327 Dy
-0.2010 2.9877 1.8863 Dy
-0.2014 0.1425 4.0181 Dy
-0.2021 6.6852 0.2458 Dy
2.8828 1.2320 1.6406 Dy
0.0000 6.5425 3.7736 Dy
2.8818 7.3490 1.8861 Dy
3.2855 -2.3223 7.3072 Dy
3.2854 4.2200 3.5273 Dy
0.2006 -2.9882 5.6631 Y
-0.0009 0.0014 7.5529 Y
0.2003 3.1307 5.9079 Y
3.2857 1.3763 5.6630 Y
5.9663 -0.9479 5.4172 Y
-3.6226 -2.1361 7.3211 O
-3.7630 4.3544 4.0925 O
-3.6183 1.2792 5.8197 O
-3.8935 4.4461 7.2344 O
-1.0619 -1.0922 5.8258 O
0.6791 0.8111 2.0422 O
0.8082 -1.8583 3.6851 O
-0.8083 2.4148 4.0050 O
-0.5372 5.2268 1.9649 O
-1.0659 2.0423 7.4695 O
2.0221 3.4149 1.8109 O
-0.6743 5.1791 5.4966 O
3.7626 -0.8142 2.0521 O
1.0597 0.9454 5.7375 O
4.1476 2.3183 0.0873 O
3.6193 -0.8666 5.5851 O
3.8935 1.9462 3.5345 O
2.2742 6.2183 3.8565 O
2.4116 3.5581 5.5074 O
4.1462 5.4599 1.7238 O
6.9763 -0.0840 0.3208 O
6.7059 3.0922 1.7292 O
6.8464 0.0072 3.4507 O
6.7042 6.4996 0.2377 O
```

Main lines, low angle first (10° ≤ 2θ ≤ 90°):
- 2θ = 20.36°, I 127
- 2θ = 28.95°, I 1000
- 2θ = 33.55°, I 330
- 2θ = 35.65°, I 66
- 2θ = 43.18°, I 94
- 2θ = 48.18°, I 395
- 2θ = 57.20°, I 315
- 2θ = 77.97°, I 87

(2)
Diffraction record for Ho2Zn3Cu12Au. The powder diffraction line list is theoretical, not measured: it uses a PBE-relaxed structure and Cu Kα X-rays.

Atomic structure:
```
Ho2Zn3Cu12Au
1.0
3.1338 1.8093 8.7796
-3.1338 1.8093 8.7796
0.0000 -3.6186 8.7796
Ho Zn Cu Au
2 3 12 1
Cartesian
0.0000 0.0000 3.7155 Ho
0.0000 0.0000 22.6232 Ho
-1.5669 -0.9047 8.7796 Zn
-1.5669 0.9047 17.5591 Zn
0.0000 1.8093 8.7796 Zn
-1.7758 -1.0252 11.4515 Cu
0.0000 -2.2413 7.5924 Cu
-1.9410 1.1206 7.5924 Cu
-1.9410 -1.1206 18.7463 Cu
0.0000 -2.0505 14.8873 Cu
-1.7758 1.0252 14.8873 Cu
1.7758 -1.0252 11.4515 Cu
0.0000 2.0505 11.4515 Cu
1.9410 1.1206 7.5924 Cu
1.9410 -1.1206 18.7463 Cu
0.0000 2.2413 18.7463 Cu
1.7758 1.0252 14.8872 Cu
0.0000 0.0000 13.1694 Au
```

Main lines, low angle first (10° ≤ 2θ ≤ 90°):
- 2θ = 30.28°, I 1000
- 2θ = 33.72°, I 285
- 2θ = 35.19°, I 357
- 2θ = 35.79°, I 278
- 2θ = 41.21°, I 591
- 2θ = 43.20°, I 719
- 2θ = 51.58°, I 423
- 2θ = 58.94°, I 344